Calculated PXRD pattern
Compound: U3Ge2
Radiation: Cu Kα (λ = 1.5418 Å)
Structure: a PBE-relaxed structure
Peak positions follow from Bragg's law for the DFT cell and can differ from measured ones.

Cell lengths 7.7963, 7.9473, 6.7986 Å; angles 90.00, 90.00, 90.00 degrees
Space group Cmc2_1 (No. 36)
Unique sites:
1 U 0.0000 0.2429 0.0000 x4
2 U 0.2430 0.1303 0.2365 x8
3 Ge 0.0000 0.1139 0.5903 x4
4 Ge 0.0000 0.4000 0.3941 x4

Most intense lines, 15° ≤ 2θ ≤ 90°, by angle:
20.6°, rel. 29, hkl 1 1 1; 26.0°, rel. 50, hkl 0 2 1; 34.8°, rel. 100, hkl 2 2 1; 35.0°, rel. 91, hkl 2 0 2; 38.2°, rel. 30, hkl 1 3 1; 46.1°, rel. 28, hkl 0 2 3

Calculated PXRD pattern
Compound: PmSbSeO2
Radiation: Cu Kα (λ = 1.5418 Å)
Structure: a PBE-relaxed structure
Peak positions follow from Bragg's law for the DFT cell and can differ from measured ones.

Cell lengths 6.6265, 4.0712, 7.6869 Å; angles 90.00, 105.20, 90.00 degrees
Space group P2_1/m (No. 11)
Unique sites:
1 Pm 0.1982 0.2500 0.4259 x2
2 Sb 0.1730 0.2500 0.9090 x2
3 Se 0.4310 0.7500 0.7086 x2
4 O 0.0157 0.7500 0.8961 x2
5 O 0.0166 0.7500 0.3554 x2

Most intense lines, 15° ≤ 2θ ≤ 90°, by angle:
25.9°, rel. 100, hkl 1 1 0; 30.9°, rel. 71, hkl 1 0 2; 31.8°, rel. 79, hkl 2 0 -2; 32.7°, rel. 69, hkl 0 1 2; 35.7°, rel. 58, hkl 2 1 0; 55.1°, rel. 46, hkl 1 2 2